Theoretical powder diffraction line list
Compound: PrCo4P4
Radiation: Cu Kα
Structure: DFT lattice parameters and positions (PBE)
Peak positions follow from Bragg's law for the DFT cell and can differ from measured ones.

Cell and atoms:
```
PrCo4P4
1.0
-3.817 3.817 2.185
3.817 -3.817 2.185
3.817 3.817 -2.185
Pr Co P
1 4 4
direct
0.000 0.000 0.000
0.119 0.618 0.737
0.382 0.119 0.500
0.618 0.881 0.500
0.881 0.382 0.263
0.192 0.341 0.533
0.341 0.808 0.149
0.659 0.192 0.851
0.808 0.659 0.467
```

Most intense lines, 2θ = 10–80°, sorted by position:
two_theta	Rel. int.
23.46	59
33.20	24
33.30	91
37.25	100
41.05	18
41.32	51
47.73	66
53.75	30
56.84	56
64.67	21
69.71	19
77.25	16